This entry pairs a crystal structure of FeHO2 with its theoretical powder X-ray diffraction pattern. Radiation: CuKα. Structure: DFT lattice parameters and positions (PBE+U).

The 10 most intense peaks (10° ≤ 2θ ≤ 80°), in order of rising 2θ:
| 2theta | Rel. int. |
| --- | --- |
| 22.06 | 92.2 |
| 29.21 | 100.0 |
| 31.29 | 27.8 |
| 33.22 | 45.0 |
| 36.91 | 23.9 |
| 40.23 | 23.2 |
| 44.98 | 40.8 |
| 49.11 | 24.8 |
| 54.52 | 44.2 |
| 58.15 | 19.1 |

Structural model:
Cell lengths 8.059, 3.710, 5.394 Å; angles 90.00, 90.00, 90.00 degrees
Atoms (fractional coordinates):
Fe 0.242 0.250 0.211
Fe 0.258 0.750 0.711
Fe 0.742 0.250 0.289
Fe 0.758 0.750 0.789
H 0.004 0.250 0.491
H 0.496 0.750 0.991
H 0.504 0.250 0.009
H 0.996 0.750 0.509
O 0.000 0.250 0.308
O 0.000 0.750 0.692
O 0.238 0.250 0.854
O 0.262 0.750 0.354
O 0.500 0.250 0.192
O 0.500 0.750 0.808
O 0.738 0.250 0.646
O 0.762 0.750 0.146

---

This entry pairs a crystal structure of FeHO2 with its theoretical powder X-ray diffraction pattern. Radiation: CuKα. Structure: DFT lattice parameters and positions (PBE+U).

The 10 most intense peaks (10° ≤ 2θ ≤ 80°), in order of rising 2θ:
| 2theta | Rel. int. |
| --- | --- |
| 14.10 | 100.0 |
| 26.74 | 77.9 |
| 35.99 | 69.3 |
| 46.15 | 23.7 |
| 46.48 | 27.1 |
| 52.20 | 12.2 |
| 52.37 | 12.0 |
| 59.49 | 10.1 |
| 59.73 | 12.6 |
| 60.02 | 12.4 |

Structural model:
Cell lengths 6.469, 6.469, 3.934 Å; angles 90.08, 90.08, 152.21 degrees
Atoms (fractional coordinates):
Fe 0.177 0.823 0.500
Fe 0.823 0.177 0.000
H 0.481 0.519 0.189
H 0.519 0.481 0.689
O 0.210 0.790 0.000
O 0.428 0.572 0.996
O 0.572 0.428 0.496
O 0.790 0.210 0.500

---

This entry pairs a crystal structure of FeHO2 with its theoretical powder X-ray diffraction pattern. Radiation: CuKα. Structure: DFT lattice parameters and positions (PBE+U).

The 10 most intense peaks (10° ≤ 2θ ≤ 80°), in order of rising 2θ:
| 2theta | Rel. int. |
| --- | --- |
| 11.78 | 100.0 |
| 16.69 | 38.9 |
| 26.53 | 43.4 |
| 33.74 | 26.5 |
| 34.83 | 53.0 |
| 42.56 | 11.8 |
| 46.01 | 15.3 |
| 55.38 | 39.1 |
| 63.78 | 13.7 |
| 67.11 | 13.2 |

Structural model:
Cell lengths 7.668, 7.668, 7.668 Å; angles 92.29, 92.29, 156.94 degrees
Atoms (fractional coordinates):
Fe 0.147 0.647 0.795
Fe 0.353 0.147 0.500
Fe 0.647 0.853 0.500
Fe 0.853 0.353 0.205
H 0.082 0.163 0.244
H 0.163 0.918 0.081
H 0.837 0.082 0.919
H 0.918 0.837 0.756
O 0.159 0.212 0.370
O 0.169 0.467 0.636
O 0.212 0.841 0.053
O 0.467 0.831 0.297
O 0.533 0.169 0.703
O 0.788 0.159 0.947
O 0.831 0.533 0.364
O 0.841 0.788 0.630